Structure and simulated powder diffraction line list of Li2CuPO4 (the PBE geometry in Alexandria; Cu Kα (weighted mean of Kα1 and Kα2)).
Peak positions follow from Bragg's law for the DFT cell and can differ from measured ones.

Largest 10 diffraction maxima, low angle first, 2θ = 10–90°:
| (hkl) | 2theta | I/Imax |
| --- | --- | --- |
| 2 0 0 | 16.70 | 112 |
| 2 0 1 | 23.95 | 1000 |
| 0 2 0 | 28.67 | 333 |
| 2 2 0 | 33.36 | 183 |
| 4 0 0 | 33.77 | 386 |
| 0 0 2 | 34.49 | 418 |
| 2 2 1 | 37.70 | 229 |
| 4 1 1 | 40.82 | 156 |
| 2 1 2 | 41.28 | 150 |
| 4 0 2 | 49.03 | 127 |

Atomic structure:
a = 10.620 Å, b = 6.226 Å, c = 5.202 Å
α = 90.00°, β = 90.00°, γ = 90.00°
Element x y z (fractional)
Li  0.160  0.002  0.190
Li  0.160  0.498  0.190
Li  0.340  0.502  0.690
Li  0.340  0.998  0.690
Li  0.660  0.002  0.310
Li  0.660  0.498  0.310
Li  0.840  0.502  0.810
Li  0.840  0.998  0.810
Cu  0.109  0.750  0.750
Cu  0.391  0.250  0.250
Cu  0.609  0.750  0.750
Cu  0.891  0.250  0.250
P  0.088  0.250  0.684
P  0.412  0.750  0.184
P  0.588  0.250  0.816
P  0.912  0.750  0.316
O  0.051  0.750  0.233
O  0.099  0.250  0.386
O  0.159  0.050  0.798
O  0.159  0.450  0.798
O  0.341  0.550  0.298
O  0.341  0.950  0.298
O  0.401  0.750  0.886
O  0.449  0.250  0.733
O  0.551  0.750  0.267
O  0.599  0.250  0.114
O  0.659  0.050  0.702
O  0.659  0.450  0.702
O  0.841  0.550  0.202
O  0.841  0.950  0.202
O  0.901  0.750  0.614
O  0.949  0.250  0.767

---

Structure and simulated powder diffraction line list of LiCu5P2O8 (the PBE geometry in Alexandria; Cu Kα (weighted mean of Kα1 and Kα2)).
Peak positions follow from Bragg's law for the DFT cell and can differ from measured ones.

Largest 10 diffraction maxima, low angle first, 2θ = 10–90°:
| (hkl) | 2theta | I/Imax |
| --- | --- | --- |
| 1 0 0 | 15.69 | 656 |
| 0 1 1 | 16.51 | 776 |
| 1 0 3 | 30.71 | 458 |
| 1 2 0 | 32.73 | 1000 |
| 0 0 4 | 34.25 | 903 |
| 2 0 -2 | 35.43 | 439 |
| 1 2 -2 | 36.73 | 491 |
| 2 0 2 | 36.84 | 358 |
| 1 2 2 | 37.42 | 506 |
| 2 2 -2 | 46.13 | 306 |

Atomic structure:
a = 5.653 Å, b = 6.255 Å, c = 10.485 Å
α = 90.00°, β = 92.59°, γ = 90.00°
Element x y z (fractional)
Li  0.000  0.000  0.000
Li  0.272  0.500  0.270
Cu  0.392  0.500  0.738
Cu  0.491  0.295  0.956
Cu  0.491  0.705  0.956
Cu  0.506  0.221  0.551
Cu  0.506  0.779  0.551
Cu  0.767  0.195  0.234
Cu  0.767  0.294  0.761
Cu  0.767  0.706  0.761
Cu  0.767  0.805  0.234
Cu  0.869  0.000  0.460
P  0.211  0.000  0.763
P  0.293  0.000  0.269
P  0.939  0.500  0.505
P  0.962  0.500  0.031
O  0.044  0.000  0.192
O  0.181  0.500  0.448
O  0.227  0.500  0.001
O  0.255  0.000  0.415
O  0.294  0.200  0.690
O  0.294  0.800  0.690
O  0.313  0.000  0.905
O  0.420  0.209  0.228
O  0.420  0.791  0.228
O  0.784  0.301  0.456
O  0.784  0.699  0.456
O  0.844  0.292  0.971
O  0.844  0.708  0.971
O  0.931  0.500  0.177
O  0.936  0.000  0.765
O  0.952  0.500  0.653